Computed XRD peak list of Na2LiNbF6 for copper Kα, from a crystal structure in the Materials Project, relaxed with PBE.
Kinematic intensities with the Lorentz-polarization factor, no thermal factor.

Principal peaks in the range 2θ from 5° to 70°, sorted by position:
2theta, I/Imax, (hkl)
18.8, 100, 1 1 1
21.8, 63, 2 0 0
31.0, 70, 2 2 0
36.5, 63, 3 1 1
44.4, 72, 4 0 0
48.6, 30, 3 3 1
49.9, 23, 4 2 0
55.1, 28, 4 2 2
58.7, 18, 3 3 3
64.5, 40, 4 4 0

Structure:
```
data_Na2LiNbF6
_chemical_formula_sum 'Na8 Li4 Nb4 F24'
_symmetry_space_group_name_H-M 'F m -3 m'
_symmetry_Int_Tables_number 225
_symmetry_space_group_name_Hall '-F 4 2 3'
_cell_length_a 8.1685
_cell_length_b 8.1685
_cell_length_c 8.1685
_cell_angle_alpha 90.00
_cell_angle_beta 90.00
_cell_angle_gamma 90.00
loop_
_atom_site_label
_atom_site_fract_x
_atom_site_fract_y
_atom_site_fract_z
Na1 0.2500 0.2500 0.2500
Li1 0.0000 0.0000 0.0000
Nb1 0.0000 0.0000 0.5000
F1 0.0000 0.0000 0.2442
```